The following is a simulated X-ray powder pattern of Sr2YGaSn2O7. It was derived from a crystal structure in the Materials Project, relaxed with GGA-PBE, using Cu Kα (weighted mean of Kα1 and Kα2).
Intensities are scaled so that the largest is 100.

Most intense lines, 2θ from 15° to 90°, in order of rising 2θ:
| index | d (Å) | 2theta | Rel. int. |
| --- | --- | --- | --- |
| 0 2 -1 | 3.053 | 29.25 | 49 |
| 2 0 -1 | 2.945 | 30.35 | 100 |
| 1 1 2 | 2.925 | 30.56 | 42 |
| 1 -1 3 | 2.906 | 30.76 | 43 |
| 1 1 -4 | 2.841 | 31.49 | 42 |
| 2 -2 0 | 2.154 | 41.93 | 25 |

Cell and atoms:
```
data_Sr2YGaSn2O7
_space_group_name_H-M_alt 'P 1'
_space_group_IT_number 1
_cell_length_a 5.8893
_cell_length_b 6.1129
_cell_length_c 12.5604
_cell_angle_alpha 101.89
_cell_angle_beta 102.54
_cell_angle_gamma 91.85
loop_
_space_group_symop_operation_xyz
'x,y,z'
loop_
_atom_site_label
_atom_site_type_symbol
_atom_site_fract_x
_atom_site_fract_y
_atom_site_fract_z
Sr1 Sr 0.0000 0.0000 0.0000
Sr2 Sr 0.0904 0.1383 0.3309
Sr3 Sr 0.5036 0.5733 0.0048
Sr4 Sr 0.6072 0.7156 0.3358
Y1 Y 0.2901 0.3080 0.6514
Y2 Y 0.7827 0.8072 0.6502
Ga1 Ga 0.0530 0.5444 0.1771
Ga2 Ga 0.5358 0.1476 0.1717
Sn1 Sn 0.1910 0.7421 0.5012
Sn2 Sn 0.3323 0.8721 0.7700
Sn3 Sn 0.7044 0.2607 0.5107
Sn4 Sn 0.8797 0.3993 0.8285
O1 O 0.0245 0.0915 0.7605
O2 O 0.0374 0.0563 0.5158
O3 O 0.0660 0.5492 0.7281
O4 O 0.1108 0.7205 0.3268
O5 O 0.3267 0.4313 0.4936
O6 O 0.3541 0.4658 0.1595
O7 O 0.3589 0.8931 0.9330
O8 O 0.5110 0.9092 0.5151
O9 O 0.5519 0.1793 0.7776
O10 O 0.6147 0.6367 0.7597
O11 O 0.6428 0.1407 0.3379
O12 O 0.8609 0.5962 0.4924
O13 O 0.8627 0.2749 0.1584
O14 O 0.8923 0.7337 0.0979
```

---

The following is a simulated X-ray powder pattern of CaGa2. It was derived from a crystal structure in the Materials Project, relaxed with GGA-PBE, using Cu Kα (weighted mean of Kα1 and Kα2).
Intensities are scaled so that the largest is 100.

Most intense lines, 2θ from 15° to 90°, in order of rising 2θ:
| index | d (Å) | 2theta | Rel. int. |
| --- | --- | --- | --- |
| 0 0 2 | 3.694 | 24.09 | 24 |
| 1 0 2 | 2.683 | 33.40 | 100 |
| 1 1 0 | 2.253 | 40.02 | 96 |
| 1 0 3 | 2.083 | 43.45 | 35 |
| 1 1 2 | 1.923 | 47.26 | 24 |
| 2 0 2 | 1.725 | 53.08 | 25 |

Cell and atoms:
```
data_CaGa2
_space_group_name_H-M_alt 'P 63/m m c'
_space_group_IT_number 194
_space_group_name_Hall '-P 6c 2c'
_cell_length_a 4.5059
_cell_length_b 4.5059
_cell_length_c 7.3882
_cell_angle_alpha 90.00
_cell_angle_beta 90.00
_cell_angle_gamma 120.00
loop_
_atom_site_label
_atom_site_type_symbol
_atom_site_fract_x
_atom_site_fract_y
_atom_site_fract_z
Ca1 Ca 0.0000 0.0000 0.2500
Ga1 Ga 0.3333 0.6667 0.0424
```

---

The following is a simulated X-ray powder pattern of PdSe6Cl2. It was derived from a crystal structure in the Materials Project, relaxed with GGA-PBE, using Cu Kα (weighted mean of Kα1 and Kα2).
Intensities are scaled so that the largest is 100.

Most intense lines, 2θ from 15° to 90°, in order of rising 2θ:
| index | d (Å) | 2theta | Rel. int. |
| --- | --- | --- | --- |
| 1 0 0 | 4.839 | 18.33 | 100 |
| 1 0 -2 | 4.349 | 20.42 | 63 |
| 0 1 3 | 3.861 | 23.03 | 42 |
| 1 1 -3 | 3.346 | 26.64 | 41 |
| 0 3 1 | 2.800 | 31.97 | 40 |
| 1 3 -1 | 2.471 | 36.36 | 45 |

Cell and atoms:
```
data_PdSe6Cl2
_space_group_name_H-M_alt 'P 1 21/c 1'
_space_group_IT_number 14
_cell_length_a 4.9538
_cell_length_b 8.6023
_cell_length_c 13.2702
_cell_angle_alpha 90.00
_cell_angle_beta 102.33
_cell_angle_gamma 90.00
loop_
_space_group_symop_operation_xyz
'x,y,z'
'-x,-y,-z'
'-x,y+1/2,-z+1/2'
'x,-y+1/2,z+1/2'
loop_
_atom_site_label
_atom_site_type_symbol
_atom_site_fract_x
_atom_site_fract_y
_atom_site_fract_z
Pd1 Pd 0.0000 0.0000 0.0000
Se1 Se 0.0055 0.1312 0.3605
Se2 Se 0.1609 0.7323 0.9934
Se3 Se 0.1797 0.1213 0.6472
Cl1 Cl 0.3542 0.0367 0.1444
```